For AgTe12Au7, DFT lattice parameters and positions (PBE) gives the calculated powder diffractogram in this record (Cu Ka).

The 10 most intense peaks (5 to 70 degrees two-theta), most intense first:
2θ (°)	I (rel.)
32.04	100
43.93	43
47.90	24
12.93	19
58.79	11
17.14	11
11.21	10
51.85	10
39.51	9
22.52	9

Cell and atoms:
Unit cell a=8.6583 b=8.6583 c=8.6583 alpha=104.55 beta=104.55 gamma=104.55
Fractional coordinates of all 20 atoms:
1 Ag 0.0000 0.0000 0.0000
2 Te 0.0191 0.7073 0.2362
3 Te 0.1475 0.3886 0.4508
4 Te 0.2362 0.0191 0.7073
5 Te 0.2927 0.7638 0.9809
6 Te 0.3886 0.4508 0.1475
7 Te 0.4508 0.1475 0.3886
8 Te 0.5492 0.8525 0.6114
9 Te 0.6114 0.5492 0.8525
10 Te 0.7073 0.2362 0.0191
11 Te 0.7638 0.9809 0.2927
12 Te 0.8525 0.6114 0.5492
13 Te 0.9809 0.2927 0.7638
14 Au 0.0526 0.3530 0.1092
15 Au 0.1092 0.0526 0.3530
16 Au 0.3530 0.1092 0.0526
17 Au 0.5000 0.5000 0.5000
18 Au 0.6470 0.8908 0.9474
19 Au 0.8908 0.9474 0.6470
20 Au 0.9474 0.6470 0.8908